Structure and theoretical XRD peak list of KPu2F9 (a cell relaxed with PBE; copper Kα).

Most intense lines, 2θ = 15–90°, by angle:
- 2θ 15.38, rel. 100, (0 2 0)
- 2θ 24.12, rel. 48, (2 0 1)
- 2θ 25.64, rel. 30, (2 2 0)
- 2θ 26.51, rel. 43, (0 3 1)
- 2θ 27.65, rel. 50, (1 0 2)
- 2θ 28.73, rel. 45, (2 2 1)
- 2θ 31.79, rel. 40, (1 2 2)
- 2θ 41.27, rel. 26, (0 5 1)
- 2θ 46.99, rel. 27, (1 3 3)
- 2θ 47.16, rel. 32, (3 3 2)

Unit cell a=8.7102 b=11.5258 c=6.9472 alpha=90.00 beta=90.00 gamma=90.00
Fractional coordinates of all 48 atoms:
K1 0.0359 0.2500 0.1427
K2 0.4641 0.7500 0.6427
K3 0.5359 0.2500 0.3573
K4 0.9641 0.7500 0.8573
Pu1 0.1730 0.0506 0.6542
Pu2 0.1730 0.4494 0.6542
Pu3 0.3270 0.5506 0.1542
Pu4 0.3270 0.9494 0.1542
Pu5 0.6730 0.0506 0.8458
Pu6 0.6730 0.4494 0.8458
Pu7 0.8270 0.5506 0.3458
Pu8 0.8270 0.9494 0.3458
F1 0.0055 0.5988 0.5762
F2 0.0055 0.9012 0.5762
F3 0.0654 0.5800 0.1956
F4 0.0654 0.9200 0.1956
F5 0.1774 0.2500 0.6606
F6 0.2103 0.0945 0.9729
F7 0.2103 0.4055 0.9729
F8 0.2153 0.6071 0.8533
F9 0.2153 0.8929 0.8533
F10 0.2847 0.1071 0.3533
F11 0.2847 0.3929 0.3533
F12 0.2897 0.5945 0.4729
F13 0.2897 0.9055 0.4729
F14 0.3226 0.7500 0.1606
F15 0.4346 0.0799 0.6956
F16 0.4346 0.4200 0.6956
F17 0.4945 0.0988 0.0762
F18 0.4945 0.4012 0.0762
F19 0.5055 0.5988 0.9238
F20 0.5055 0.9012 0.9238
F21 0.5654 0.5800 0.3044
F22 0.5654 0.9200 0.3044
F23 0.6774 0.2500 0.8394
F24 0.7103 0.0945 0.5271
F25 0.7103 0.4055 0.5271
F26 0.7153 0.6071 0.6467
F27 0.7153 0.8929 0.6467
F28 0.7847 0.1071 0.1467
F29 0.7847 0.3929 0.1467
F30 0.7897 0.5945 0.0271
F31 0.7897 0.9055 0.0271
F32 0.8226 0.7500 0.3394
F33 0.9346 0.0799 0.8044
F34 0.9346 0.4200 0.8044
F35 0.9945 0.0988 0.4238
F36 0.9945 0.4012 0.4238